Diffraction record for BaSrBiSbO6. The powder XRD pattern is theoretical, not measured: it uses a cell relaxed with PBE and Cu Ka.
Lines closer than 0.1° are merged.

Most intense lines, 2θ = 10–90°, low angle first:
2θ/deg	I (rel.)
20.70	172
29.37	1000
29.48	668
29.60	327
42.06	171
42.16	353
52.02	203
52.16	289
52.35	216
52.52	146

Crystal structure
```
data_BaSrBiSbO6
_cell_length_a 6.052
_cell_length_b 6.087
_cell_length_c 8.573
_cell_angle_alpha 90.32
_cell_angle_beta 90.41
_cell_angle_gamma 90.14
_space_group_name_H-M_alt 'P -1'
_space_group_IT_number 2
loop_
_space_group_symop_operation_xyz
'x,y,z'
'-x,-y,-z'
loop_
_atom_site_label
_atom_site_type_symbol
_atom_site_fract_x
_atom_site_fract_y
_atom_site_fract_z
Ba1 Ba 0.005 0.028 0.250
Sr1 Sr 0.492 0.537 0.252
Bi1 Bi 0.000 0.500 0.500
Bi2 Bi 0.500 0.000 0.000
Sb1 Sb 0.000 0.500 0.000
Sb2 Sb 0.500 0.000 0.500
O1 O 0.086 0.508 0.770
O2 O 0.198 0.764 0.040
O3 O 0.236 0.800 0.467
O4 O 0.267 0.306 0.045
O5 O 0.312 0.272 0.456
O6 O 0.436 0.036 0.731
```

Diffraction record for Ho5Zr3Ni16As12. The powder XRD pattern is theoretical, not measured: it uses a cell relaxed with PBE and Cu Ka.
Lines closer than 0.1° are merged.

Most intense lines, 2θ = 10–90°, low angle first:
2θ/deg	I (rel.)
29.09	124
33.44	272
36.35	1000
37.27	775
45.64	122
46.58	350
49.41	349
55.75	171
70.25	230
74.23	132

Crystal structure
```
data_Ho5Zr3Ni16As12
_cell_length_a 12.7798
_cell_length_b 12.7798
_cell_length_c 3.8994
_cell_angle_alpha 90.00
_cell_angle_beta 90.00
_cell_angle_gamma 120.00
_space_group_name_H-M_alt 'P -6 2 m'
_space_group_IT_number 189
_space_group_name_Hall 'P -6 -2'
loop_
_atom_site_label
_atom_site_type_symbol
_atom_site_fract_x
_atom_site_fract_y
_atom_site_fract_z
Ho1 Ho 0.0000 0.1809 0.0000
Ho2 Ho 0.3333 0.6667 0.5000
Zr1 Zr 0.0000 0.5626 0.5000
Ni1 Ni 0.0000 0.0000 0.5000
Ni2 Ni 0.0000 0.7236 0.0000
Ni3 Ni 0.1209 0.4811 0.0000
Ni4 Ni 0.1820 0.8083 0.5000
As1 As 0.0000 0.3540 0.5000
As2 As 0.0000 0.8226 0.5000
As3 As 0.1728 0.6918 0.0000
```

Diffraction record for Ga2Hg3Cl8. The powder XRD pattern is theoretical, not measured: it uses a cell relaxed with PBE and Cu Ka.
Lines closer than 0.1° are merged.

Most intense lines, 2θ = 10–90°, low angle first:
2θ/deg	I (rel.)
13.29	304
16.49	1000
18.14	741
18.96	442
21.32	207
26.58	399
29.08	236
29.65	296
30.76	334
34.43	205

Crystal structure
```
data_Ga2Hg3Cl8
_cell_length_a 7.410
_cell_length_b 15.729
_cell_length_c 14.879
_cell_angle_alpha 90.00
_cell_angle_beta 97.66
_cell_angle_gamma 90.00
_space_group_name_H-M_alt 'P 1 21/c 1'
_space_group_IT_number 14
loop_
_space_group_symop_operation_xyz
'x,y,z'
'-x,-y,-z'
'-x,y+1/2,-z+1/2'
'x,-y+1/2,z+1/2'
loop_
_atom_site_label
_atom_site_type_symbol
_atom_site_fract_x
_atom_site_fract_y
_atom_site_fract_z
Ga1 Ga 0.100 0.183 0.095
Ga2 Ga 0.305 0.602 0.778
Hg1 Hg 0.133 0.524 0.195
Hg2 Hg 0.315 0.637 0.109
Hg3 Hg 0.493 0.741 0.535
Cl1 Cl 0.017 0.585 0.706
Cl2 Cl 0.095 0.185 0.546
Cl3 Cl 0.144 0.611 0.454
Cl4 Cl 0.176 0.170 0.241
Cl5 Cl 0.322 0.522 0.900
Cl6 Cl 0.325 0.120 0.026
Cl7 Cl 0.345 0.737 0.810
Cl8 Cl 0.492 0.563 0.685
```

Diffraction record for SrSb12Ru4. The powder XRD pattern is theoretical, not measured: it uses a cell relaxed with PBE and Cu Ka.
Lines closer than 0.1° are merged.

Most intense lines, 2θ = 10–90°, low angle first:
2θ/deg	I (rel.)
30.02	1000
35.69	394
42.97	281
47.31	297
49.36	275
57.05	126
67.48	176
77.17	91
88.04	150
89.57	93

Crystal structure
```
data_SrSb12Ru4
_cell_length_a 9.414
_cell_length_b 9.414
_cell_length_c 9.414
_cell_angle_alpha 90.00
_cell_angle_beta 90.00
_cell_angle_gamma 90.00
_space_group_name_H-M_alt 'I m -3'
_space_group_IT_number 204
_space_group_name_Hall '-I 2 2 3'
loop_
_atom_site_label
_atom_site_type_symbol
_atom_site_fract_x
_atom_site_fract_y
_atom_site_fract_z
Sr1 Sr 0.000 0.000 0.000
Sb1 Sb 0.000 0.159 0.342
Ru1 Ru 0.250 0.250 0.250
```

Diffraction record for MgCd. The powder XRD pattern is theoretical, not measured: it uses a cell relaxed with PBE and Cu Ka.
Lines closer than 0.1° are merged.

Most intense lines, 2θ = 10–90°, low angle first:
2θ/deg	I (rel.)
21.78	475
23.43	373
24.77	1000
32.21	248
38.20	437
42.01	450
45.30	375
46.06	184
58.07	166
71.65	172

Crystal structure
```
data_MgCd
_cell_length_a 4.7122
_cell_length_b 4.7122
_cell_length_c 7.5922
_cell_angle_alpha 90.00
_cell_angle_beta 90.00
_cell_angle_gamma 120.00
_space_group_name_H-M_alt 'P 63 m c'
_space_group_IT_number 186
_space_group_name_Hall 'P 6c -2c'
loop_
_atom_site_label
_atom_site_type_symbol
_atom_site_fract_x
_atom_site_fract_y
_atom_site_fract_z
Mg1 Mg 0.3333 0.6667 0.0000
Cd1 Cd 0.3333 0.6667 0.6232
```

Diffraction record for Cs2PdI2Br4. The powder XRD pattern is theoretical, not measured: it uses a cell relaxed with PBE and Cu Ka.
Lines closer than 0.1° are merged.

Most intense lines, 2θ = 10–90°, low angle first:
2θ/deg	I (rel.)
19.91	224
20.99	183
23.90	243
24.62	165
28.57	233
28.73	413
29.09	1000
30.55	231
31.19	335
46.92	208

Crystal structure
```
data_Cs2PdI2Br4
_cell_length_a 12.503
_cell_length_b 8.465
_cell_length_c 8.925
_cell_angle_alpha 90.00
_cell_angle_beta 132.94
_cell_angle_gamma 90.00
_space_group_name_H-M_alt 'C 1 2/m 1'
_space_group_IT_number 12
loop_
_space_group_symop_operation_xyz
'x,y,z'
'-x,-y,-z'
'-x,y,-z'
'x,-y,z'
'x+1/2,y+1/2,z'
'-x+1/2,-y+1/2,-z'
'-x+1/2,y+1/2,-z'
'x+1/2,-y+1/2,z'
loop_
_atom_site_label
_atom_site_type_symbol
_atom_site_fract_x
_atom_site_fract_y
_atom_site_fract_z
Cs1 Cs 0.246 0.000 0.224
Pd1 Pd 0.000 0.000 0.500
I1 I 0.157 0.500 0.151
Br1 Br 0.016 0.207 0.319
```

Diffraction record for Ca2La2Ti3CuO12. The powder XRD pattern is theoretical, not measured: it uses a cell relaxed with PBE and Cu Ka.
Lines closer than 0.1° are merged.

Most intense lines, 2θ = 10–90°, low angle first:
2θ/deg	I (rel.)
23.55	143
32.21	1000
32.56	503
39.87	248
45.68	192
46.72	397
57.23	201
57.88	364
67.40	207
68.20	128

Crystal structure
```
data_Ca2La2Ti3CuO12
_cell_length_a 3.889
_cell_length_b 3.889
_cell_length_c 15.889
_cell_angle_alpha 90.00
_cell_angle_beta 90.00
_cell_angle_gamma 90.00
_space_group_name_H-M_alt 'P 4/m m m'
_space_group_IT_number 123
_space_group_name_Hall '-P 4 2'
loop_
_atom_site_label
_atom_site_type_symbol
_atom_site_fract_x
_atom_site_fract_y
_atom_site_fract_z
Ca1 Ca 0.000 0.000 0.123
La1 La 0.000 0.000 0.385
Ti1 Ti 0.500 0.500 0.000
Ti2 Ti 0.500 0.500 0.247
Cu1 Cu 0.500 0.500 0.500
O1 O 0.000 0.500 0.000
O2 O 0.000 0.500 0.248
O3 O 0.000 0.500 0.500
O4 O 0.500 0.500 0.123
O5 O 0.500 0.500 0.367
```